Theoretical X-ray powder pattern
Compound: BiXeF9
Radiation: λ = 1.5418 Å (Cu Kα)
Structure: a GGA-PBE-relaxed structure
Kinematic intensities with the Lorentz-polarization factor, no thermal factor.

Main lines, by angle (2θ = 15–90°):
2θ/deg	d/Å	intensity	(hkl)
18.93	4.688	50.9	1 -1 0
19.34	4.590	100.0	1 1 0
20.83	4.265	39.2	1 -1 1
21.42	4.149	72.1	0 0 2
22.67	3.923	55.7	-1 1 1
22.90	3.883	60.8	0 2 1
23.49	3.787	50.6	1 1 2
27.05	3.296	30.1	0 2 -1
27.26	3.272	31.3	1 -1 2
36.21	2.481	29.5	1 3 1

Crystal structure
a b c (Å): 5.9752 8.0498 8.8284
angles (deg): 77.77 74.02 87.85
Space group P-1 (No. 2)
Symmetry-distinct sites (fractional):
Bi  0.2091  0.3429  0.2519
Xe  0.2961  0.1708  0.7143
F  0.0154  0.8111  0.1280
F  0.0183  0.1439  0.2420
F  0.0885  0.5354  0.6640
F  0.1414  0.2017  0.5110
F  0.2543  0.4604  0.0195
F  0.3873  0.5101  0.3211
F  0.3880  0.8512  0.4375
F  0.4413  0.1371  0.8953
F  0.4987  0.2000  0.2148